This entry pairs a crystal structure of SmMgVS4 with its theoretical powder X-ray diffraction pattern. Radiation: Cu Kα. Structure: a cell relaxed with GGA-PBE.
Intensities are scaled so that the largest is 100.

Main lines, in order of rising 2θ (10° ≤ 2θ ≤ 80°):
6.187 Å, I = 100; 3.291 Å, I = 79; 3.230 Å, I = 43; 2.713 Å, I = 77; 2.678 Å, I = 37; 2.484 Å, I = 26; 2.063 Å, I = 27; 1.906 Å, I = 68

Cell and atoms:
Unit cell a=7.6256 b=7.6256 c=7.6256 alpha=120.39 beta=118.72 gamma=90.78
Atoms (fractional coordinates):
Sm 0.0000 0.0000 0.0000
Sm 0.5000 0.0000 0.5000
Mg 0.3775 0.6275 0.7500
Mg 0.6225 0.3725 0.2500
V 0.0000 0.0000 0.5000
V 0.0000 0.5000 0.0000
S 0.2060 0.7422 0.4638
S 0.2216 0.2578 0.9638
S 0.2306 0.2343 0.5037
S 0.2306 0.7269 0.9963
S 0.7694 0.2731 0.0037
S 0.7694 0.7657 0.4963
S 0.7784 0.7422 0.0362
S 0.7940 0.2578 0.5362

=====

This entry pairs a crystal structure of HoCo2Ni5 with its theoretical powder X-ray diffraction pattern. Radiation: Cu Kα. Structure: a cell relaxed with GGA-PBE.
Intensities are scaled so that the largest is 100.

Main lines, in order of rising 2θ (10° ≤ 2θ ≤ 80°):
2.583 Å, I = 44; 2.371 Å, I = 100; 2.283 Å, I = 98; 2.171 Å, I = 23; 1.845 Å, I = 53; 1.808 Å, I = 37; 1.749 Å, I = 29; 1.291 Å, I = 31

Cell and atoms:
Unit cell a=5.8355 b=5.8355 c=5.8355 alpha=143.90 beta=109.69 gamma=81.67
Atoms (fractional coordinates):
Ho 0.0000 0.0000 0.0000
Co 0.2426 0.7426 0.5000
Co 0.7574 0.2574 0.5000
Ni 0.1700 0.3537 0.8162
Ni 0.4625 0.6463 0.8162
Ni 0.5000 0.0000 0.5000
Ni 0.5375 0.3537 0.1838
Ni 0.8300 0.6463 0.1838

=====

This entry pairs a crystal structure of Ce2ScPb2 with its theoretical powder X-ray diffraction pattern. Radiation: Cu Kα. Structure: a cell relaxed with GGA-PBE.
Intensities are scaled so that the largest is 100.

Main lines, in order of rising 2θ (10° ≤ 2θ ≤ 80°):
3.333 Å, I = 25; 3.223 Å, I = 31; 2.940 Å, I = 100; 2.565 Å, I = 44; 2.483 Å, I = 62; 2.172 Å, I = 28; 1.495 Å, I = 23; 1.413 Å, I = 22

Cell and atoms:
Unit cell a=9.3271 b=9.3271 c=6.4451 alpha=90.00 beta=90.00 gamma=148.07
Atoms (fractional coordinates):
Ce 0.0000 0.0000 0.0000
Ce 0.0000 0.0000 0.5000
Ce 0.1983 0.8017 0.7500
Ce 0.8017 0.1983 0.2500
Sc 0.4031 0.5969 0.7500
Sc 0.5969 0.4031 0.2500
Pb 0.1782 0.8218 0.2500
Pb 0.4197 0.5803 0.2500
Pb 0.5803 0.4197 0.7500
Pb 0.8218 0.1782 0.7500

=====

This entry pairs a crystal structure of HoMgCu17 with its theoretical powder X-ray diffraction pattern. Radiation: Cu Kα. Structure: a cell relaxed with GGA-PBE.
Intensities are scaled so that the largest is 100.

Main lines, in order of rising 2θ (10° ≤ 2θ ≤ 80°):
6.319 Å, I = 23; 2.445 Å, I = 36; 2.372 Å, I = 27; 2.118 Å, I = 58; 2.106 Å, I = 100; 2.072 Å, I = 47; 1.886 Å, I = 55; 1.222 Å, I = 25

Cell and atoms:
Unit cell a=6.4117 b=6.4117 c=6.4117 alpha=82.68 beta=82.68 gamma=82.68
Atoms (fractional coordinates):
Ho 0.0000 0.0000 0.0000
Mg 0.6822 0.6822 0.6822
Cu 0.0380 0.3420 0.6384
Cu 0.0380 0.6384 0.3420
Cu 0.1915 0.6848 0.6848
Cu 0.2441 0.2441 0.2441
Cu 0.3361 0.3361 0.8415
Cu 0.3361 0.8415 0.3361
Cu 0.3420 0.0380 0.6384
Cu 0.3420 0.6384 0.0380
Cu 0.4411 0.4411 0.4411
Cu 0.5000 0.9905 0.9905
Cu 0.6384 0.0380 0.3420
Cu 0.6384 0.3420 0.0380
Cu 0.6848 0.1915 0.6848
Cu 0.6848 0.6848 0.1915
Cu 0.8415 0.3361 0.3361
Cu 0.9905 0.5000 0.9905
Cu 0.9905 0.9905 0.5000